# LiMnP3O9
Computed powder diffraction line list, Cu Kα (weighted mean of Kα1 and Kα2). Input: a DFT-relaxed cell (GGA+U, Alexandria).
Lines closer than 0.1° are merged.

Largest 12 diffraction maxima, by angle, 10° ≤ 2θ ≤ 90°:
2θ (°), Rel. int., hkl
13.13, 51.4, 0 1 0
18.50, 48.3, 1 0 -1
18.63, 82.2, 1 -1 0
26.68, 38.0, 2 0 0
28.09, 68.0, 1 1 2
28.58, 49.3, 1 0 -2
28.84, 45.1, 2 0 1
29.64, 41.2, 1 -2 0
29.96, 75.2, 2 0 -1
31.54, 100.0, 0 2 -1
32.18, 84.3, 0 2 2
53.11, 34.8, 0 4 1

Crystal structure
abc: 6.6928 6.8999 7.4360
angles: 77.77 87.11 89.74
Space group P-1 (No. 2)
Inequivalent atoms, fractional coordinates:
Li1 0.1519 0.0759 0.1751 [2 per cell]
Mn1 0.1594 0.5883 0.1441 [2 per cell]
P1 0.1397 0.7292 0.5534 [2 per cell]
P2 0.3326 0.3877 0.7793 [2 per cell]
P3 0.3486 0.9484 0.7952 [2 per cell]
O1 0.0463 0.2949 0.3202 [2 per cell]
O2 0.1188 0.7853 0.3479 [2 per cell]
O3 0.1670 0.3942 0.9273 [2 per cell]
O4 0.1810 0.8803 0.9404 [2 per cell]
O5 0.2639 0.5249 0.5884 [2 per cell]
O6 0.2917 0.8848 0.6051 [2 per cell]
O7 0.3256 0.1831 0.7162 [2 per cell]
O8 0.4414 0.1040 0.1649 [2 per cell]
O9 0.4621 0.5545 0.1857 [2 per cell]